This entry pairs a crystal structure of PrErCo17 with its simulated X-ray powder pattern. Radiation: Cu Kα (weighted mean of Kα1 and Kα2). Structure: a cell relaxed with PBE.

Peak list (6 most intense, 10 to 80 degrees two-theta, sorted by position)
d (Å)	intensity
2.904	40
2.414	41
2.323	34
2.090	68
2.072	100
2.018	32

Structural model:
Cell lengths 6.293, 6.293, 6.293 Å; angles 83.27, 83.27, 83.27 degrees
Fractional positions:
Pr 0.000 0.000 0.000
Er 0.689 0.689 0.689
Co 0.000 0.000 0.497
Co 0.000 0.497 0.000
Co 0.060 0.348 0.632
Co 0.060 0.632 0.348
Co 0.198 0.690 0.690
Co 0.251 0.251 0.251
Co 0.348 0.060 0.632
Co 0.348 0.632 0.060
Co 0.349 0.349 0.845
Co 0.349 0.845 0.349
Co 0.444 0.444 0.444
Co 0.497 0.000 0.000
Co 0.632 0.060 0.348
Co 0.632 0.348 0.060
Co 0.690 0.198 0.690
Co 0.690 0.690 0.198
Co 0.845 0.349 0.349